# 1
Computed X-ray diffraction stick pattern
Compound: Pr6Dy2Al
Radiation: a wavelength of 1.5418 Å
Structure: a cell relaxed with GGA-PBE
Lines closer than 0.1° are merged.

Structural model:
```
18
Lattice="10.4526 0.0000 0.0000 0.0000 10.4599 0.0000 0.0000 0.0000 5.4898" Properties=species:S:1:pos:R:3 pbc="T T T"
Pr 0.4087 1.9641 0.0000
Pr 1.2970 6.5172 2.7449
Pr 1.9625 10.0346 2.7449
Pr 3.2638 4.8047 0.0000
Pr 3.9293 1.2873 0.0000
Pr 4.8175 7.1941 2.7449
Pr 5.6350 3.2658 2.7449
Pr 6.5232 9.1726 0.0000
Pr 7.1888 5.6552 0.0000
Pr 8.4901 0.4253 2.7449
Pr 9.1556 3.9427 2.7449
Pr 10.0438 8.4957 0.0000
Dy 2.2337 2.9808 2.7449
Dy 2.9926 8.2107 0.0000
Dy 7.4600 2.2492 0.0000
Dy 8.2189 7.4791 2.7449
Al 0.0000 5.2299 0.0000
Al 5.2263 0.0000 2.7449
```

The 8 most intense peaks (2θ from 10° to 90°), most intense first:
2θ = 30.4°, d 2.942, intensity 100; 2θ = 31.6°, d 2.832, intensity 66; 2θ = 32.6°, d 2.745, intensity 38; 2θ = 30.8°, d 2.900, intensity 31; 2θ = 45.5°, d 1.994, intensity 21; 2θ = 36.5°, d 2.465, intensity 17; 2θ = 56.8°, d 1.620, intensity 17; 2θ = 25.0°, d 3.560, intensity 17



# 2
Computed X-ray diffraction stick pattern
Compound: Rb4CdHg12
Radiation: a wavelength of 1.5418 Å
Structure: a cell relaxed with GGA-PBE
Lines closer than 0.1° are merged.

Structural model:
```
17
Lattice="-5.2326 5.2326 5.2326 5.2326 -5.2326 5.2326 5.2326 5.2326 -5.2326" Properties=species:S:1:pos:R:3 pbc="T T T"
Rb 2.6163 2.6163 -2.6163
Rb 2.6163 -2.6163 2.6163
Rb -2.6163 2.6163 2.6163
Rb 2.6163 2.6163 2.6163
Cd 0.0000 0.0000 0.0000
Hg 3.1556 0.0000 0.0000
Hg 7.3095 0.0000 0.0000
Hg 5.2326 2.6163 0.0000
Hg 5.2326 0.0000 2.6163
Hg 0.0000 3.1556 0.0000
Hg 0.0000 0.0000 3.1556
Hg 2.6163 5.2326 0.0000
Hg 2.6163 0.0000 5.2326
Hg 0.0000 7.3095 0.0000
Hg 0.0000 0.0000 7.3095
Hg 0.0000 5.2326 2.6163
Hg 0.0000 2.6163 5.2326
```

The 8 most intense peaks (2θ from 10° to 90°), most intense first:
2θ = 29.6°, d 3.021, intensity 100; 2θ = 34.3°, d 2.616, intensity 59; 2θ = 49.3°, d 1.850, intensity 34; 2θ = 58.5°, d 1.578, intensity 29; 2θ = 16.9°, d 5.233, intensity 20; 2θ = 40.4°, d 2.231, intensity 17; 2θ = 36.4°, d 2.467, intensity 15; 2θ = 32.0°, d 2.797, intensity 14